Theoretical PXRD pattern of Na2BeGeO4 for Cu Kα, from a PBE-relaxed structure.
Neutral-atom scattering factors, no anomalous dispersion.

Structure:
```
Na2BeGeO4
1.0
7.284 0.000 0.000
0.000 5.087 0.000
-0.078 0.000 10.253
Na Be Ge O
8 4 4 16
Direct
0.001 0.207 0.392
0.001 0.293 0.892
0.262 0.681 0.361
0.262 0.819 0.861
0.738 0.181 0.139
0.738 0.319 0.639
0.999 0.707 0.108
0.999 0.793 0.608
0.500 0.156 0.413
0.500 0.344 0.913
0.500 0.656 0.087
0.500 0.844 0.587
0.280 0.155 0.159
0.280 0.345 0.659
0.720 0.655 0.341
0.720 0.845 0.841
0.052 0.238 0.122
0.052 0.262 0.622
0.314 0.686 0.625
0.314 0.814 0.125
0.315 0.217 0.329
0.315 0.283 0.829
0.453 0.168 0.574
0.453 0.332 0.074
0.547 0.668 0.926
0.547 0.832 0.426
0.685 0.717 0.171
0.685 0.783 0.671
0.686 0.186 0.875
0.686 0.314 0.375
0.948 0.738 0.378
0.948 0.762 0.878
```

Largest 10 diffraction maxima, sorted by position, 10 to 90 degrees two-theta:
| 2theta | d_spacing | intensity | index |
| --- | --- | --- | --- |
| 21.12 | 4.207 | 43 | 1 0 -2 |
| 21.29 | 4.173 | 100 | 1 0 2 |
| 23.02 | 3.863 | 48 | 1 1 -1 |
| 24.66 | 3.611 | 43 | 0 1 2 |
| 30.21 | 2.959 | 35 | 2 0 2 |
| 31.39 | 2.850 | 32 | 2 1 -1 |
| 34.90 | 2.571 | 35 | 2 1 -2 |
| 35.02 | 2.562 | 88 | 0 0 4 |
| 35.29 | 2.543 | 49 | 0 2 0 |
| 36.40 | 2.469 | 37 | 0 2 1 |


Theoretical PXRD pattern of Cr2SeN2 for Cu Kα, from a PBE-relaxed structure.
Neutral-atom scattering factors, no anomalous dispersion.

Structure:
```
Cr2SeN2
1.0
5.697 0.000 0.000
0.000 3.273 0.000
-0.002 0.000 6.443
Cr Se N
4 2 4
Direct
0.169 0.000 0.184
0.331 0.500 0.816
0.669 0.500 0.184
0.831 0.000 0.816
0.000 0.500 0.500
0.500 0.000 0.500
0.164 0.000 0.874
0.336 0.500 0.126
0.664 0.500 0.874
0.836 0.000 0.126
```

Largest 10 diffraction maxima, sorted by position, 10 to 90 degrees two-theta:
| 2theta | d_spacing | intensity | index |
| --- | --- | --- | --- |
| 34.43 | 2.605 | 50 | 2 0 1 |
| 34.53 | 2.597 | 100 | 1 1 -1 |
| 42.07 | 2.148 | 33 | 0 0 3 |
| 42.37 | 2.133 | 33 | 2 0 -2 |
| 42.45 | 2.129 | 42 | 1 1 2 |
| 55.98 | 1.643 | 29 | 3 1 0 |
| 56.21 | 1.637 | 14 | 0 2 0 |
| 66.76 | 1.401 | 20 | 1 1 -4 |
| 72.44 | 1.305 | 23 | 3 1 -3 |
| 72.62 | 1.302 | 16 | 0 2 3 |


Theoretical PXRD pattern of Na2CaSi for Cu Kα, from a PBE-relaxed structure.
Neutral-atom scattering factors, no anomalous dispersion.

Structure:
```
Na2CaSi
1.0
7.339 0.000 0.000
0.000 7.339 0.000
0.000 0.000 7.339
Na Ca Si
8 4 4
Direct
0.000 0.000 0.000
0.000 0.500 0.500
0.250 0.250 0.250
0.250 0.750 0.750
0.500 0.000 0.500
0.500 0.500 0.000
0.750 0.250 0.750
0.750 0.750 0.250
0.000 0.000 0.500
0.000 0.500 0.000
0.500 0.000 0.000
0.500 0.500 0.500
0.250 0.250 0.750
0.250 0.750 0.250
0.750 0.250 0.250
0.750 0.750 0.750
```

Largest 10 diffraction maxima, sorted by position, 10 to 90 degrees two-theta:
| 2theta | d_spacing | intensity | index |
| --- | --- | --- | --- |
| 20.97 | 4.237 | 6 | 1 1 1 |
| 24.26 | 3.669 | 2 | 2 0 0 |
| 34.57 | 2.595 | 100 | 2 2 0 |
| 40.78 | 2.213 | 3 | 3 1 1 |
| 49.70 | 1.835 | 16 | 4 0 0 |
| 54.50 | 1.684 | 1 | 3 3 1 |
| 61.95 | 1.498 | 32 | 4 2 2 |
| 72.92 | 1.297 | 9 | 4 4 0 |
| 76.85 | 1.240 | 1 | 5 3 1 |
| 83.27 | 1.160 | 13 | 6 2 0 |